No. 1
Diffraction record for Li5MnP3O11. The powder diffraction line list is computed, not measured: it uses the GGA+U geometry in the Materials Project and Cu Kα.
Peak positions follow from Bragg's law for the DFT cell and can differ from measured ones.

Top 12 peaks for 2θ from 10° to 90°, in order of rising 2θ:
d 8.495, 10.41°, rel. 100; d 4.794, 18.51°, rel. 95; d 4.646, 19.10°, rel. 48; d 4.354, 20.40°, rel. 25; d 4.012, 22.16°, rel. 93; d 3.902, 22.79°, rel. 33; d 3.379, 26.37°, rel. 44; d 2.832, 31.60°, rel. 45; d 2.728, 32.83°, rel. 27; d 2.624, 34.16°, rel. 74; d 2.530, 35.48°, rel. 30; d 2.252, 40.03°, rel. 27

Structural model:
Cell: 5.3780 8.5745 9.6337 Å, 84.51 88.69 84.35°
Sites, in units of the cell vectors:
1 Li 0.0113 0.0044 0.3409
2 Li 0.1809 0.6147 0.8204
3 Li 0.2127 0.3782 0.6670
4 Li 0.2782 0.6630 0.1611
5 Li 0.3282 0.3797 0.3465
6 Li 0.6718 0.6203 0.6535
7 Li 0.7218 0.3370 0.8389
8 Li 0.7873 0.6218 0.3330
9 Li 0.8191 0.3853 0.1796
10 Li 0.9887 0.9956 0.6591
11 Mn 0.0000 0.0000 0.0000
12 Mn 0.5000 0.0000 0.5000
13 P 0.2301 0.3276 0.0217
14 P 0.2776 0.7023 0.4847
15 P 0.4624 0.0473 0.1885
16 P 0.5376 0.9527 0.8115
17 P 0.7224 0.2977 0.5153
18 P 0.7699 0.6724 0.9783
19 O 0.0211 0.7462 0.9837
20 O 0.1303 0.8649 0.5052
21 O 0.1597 0.6169 0.3710
22 O 0.2137 0.4322 0.1425
23 O 0.2622 0.0161 0.8076
24 O 0.2720 0.9313 0.1623
25 O 0.2926 0.6003 0.6278
26 O 0.3199 0.3997 0.8810
27 O 0.3720 0.1307 0.3178
28 O 0.4475 0.1845 0.0598
29 O 0.4516 0.2584 0.5596
30 O 0.5484 0.7416 0.4404
31 O 0.5525 0.8155 0.9402
32 O 0.6280 0.8693 0.6822
33 O 0.6801 0.6003 0.1190
34 O 0.7074 0.3997 0.3722
35 O 0.7280 0.0687 0.8377
36 O 0.7378 0.9839 0.1924
37 O 0.7863 0.5678 0.8575
38 O 0.8403 0.3831 0.6290
39 O 0.8697 0.1351 0.4948
40 O 0.9789 0.2538 0.0163

***

No. 2
Diffraction record for LiMn2P3O11. The powder diffraction line list is computed, not measured: it uses the GGA+U geometry in the Materials Project and Cu Kα.
Peak positions follow from Bragg's law for the DFT cell and can differ from measured ones.

Top 12 peaks for 2θ from 10° to 90°, in order of rising 2θ:
d 5.877, 15.08°, rel. 73; d 5.474, 16.19°, rel. 31; d 4.641, 19.12°, rel. 90; d 3.778, 23.55°, rel. 39; d 3.575, 24.90°, rel. 22; d 3.358, 26.54°, rel. 28; d 3.173, 28.13°, rel. 42; d 2.938, 30.42°, rel. 23; d 2.919, 30.63°, rel. 100; d 2.737, 32.72°, rel. 28; d 2.565, 34.98°, rel. 22; d 2.435, 36.91°, rel. 31

Structural model:
Cell: 7.3118 7.3118 8.6107 Å, 107.96 107.96 71.88°
Sites, in units of the cell vectors:
1 Li 0.2487 0.2487 0.2615
2 Li 0.7513 0.7513 0.7385
3 Mn 0.1291 0.1141 0.7942
4 Mn 0.4028 0.3560 0.7068
5 Mn 0.6440 0.5972 0.2932
6 Mn 0.8859 0.8709 0.2058
7 P 0.0894 0.6838 0.5321
8 P 0.2148 0.5600 0.0329
9 P 0.3162 0.9106 0.4679
10 P 0.4400 0.7852 0.9671
11 P 0.7290 0.2710 0.5000
12 P 0.8029 0.1971 0.0000
13 O 0.0009 0.6267 0.0519
14 O 0.0130 0.1908 0.9838
15 O 0.0273 0.8337 0.6842
16 O 0.1588 0.4675 0.5468
17 O 0.1663 0.9727 0.3158
18 O 0.2339 0.3985 0.8682
19 O 0.2508 0.7492 0.0000
20 O 0.2780 0.7220 0.5000
21 O 0.2972 0.0720 0.6324
22 O 0.3669 0.4992 0.1849
23 O 0.3733 0.9991 0.9481
24 O 0.5008 0.6331 0.8151
25 O 0.5188 0.2778 0.5168
26 O 0.5325 0.8412 0.4532
27 O 0.6015 0.7661 0.1318
28 O 0.6411 0.2219 0.8409
29 O 0.7222 0.4812 0.4832
30 O 0.7551 0.1093 0.3413
31 O 0.7781 0.3589 0.1591
32 O 0.8092 0.9870 0.0162
33 O 0.8907 0.2449 0.6587
34 O 0.9280 0.7028 0.3676

***

No. 3
Diffraction record for LiMn3P6O20. The powder diffraction line list is computed, not measured: it uses the GGA+U geometry in the Materials Project and Cu Kα.
Peak positions follow from Bragg's law for the DFT cell and can differ from measured ones.

Top 12 peaks for 2θ from 10° to 90°, in order of rising 2θ:
d 6.869, 12.89°, rel. 73; d 6.158, 14.38°, rel. 40; d 4.937, 17.97°, rel. 15; d 4.131, 21.51°, rel. 100; d 3.976, 22.36°, rel. 34; d 3.953, 22.49°, rel. 11; d 3.430, 25.98°, rel. 10; d 3.079, 29.00°, rel. 8; d 2.885, 31.00°, rel. 29; d 2.867, 31.19°, rel. 9; d 2.793, 32.05°, rel. 15; d 2.600, 34.49°, rel. 10

Structural model:
Cell: 12.3152 8.6139 8.6139 Å, 106.46 90.00 90.00°
Sites, in units of the cell vectors:
1 Li 0.0000 0.0000 0.0000
2 Li 0.5000 0.5000 0.5000
3 Mn 0.0000 0.2754 0.2754
4 Mn 0.2131 0.6658 0.2190
5 Mn 0.2869 0.1658 0.7190
6 Mn 0.5000 0.7754 0.7754
7 Mn 0.7131 0.7190 0.1658
8 Mn 0.7869 0.2190 0.6658
9 P 0.0535 0.2691 0.6533
10 P 0.1964 0.5331 0.8032
11 P 0.2182 0.2517 0.1160
12 P 0.2818 0.7517 0.6160
13 P 0.3036 0.0331 0.3032
14 P 0.4465 0.7691 0.1533
15 P 0.5535 0.1533 0.7691
16 P 0.6964 0.3032 0.0331
17 P 0.7182 0.6160 0.7517
18 P 0.7818 0.1160 0.2517
19 P 0.8036 0.8032 0.5331
20 P 0.9465 0.6533 0.2691
21 O 0.0590 0.7016 0.2307
22 O 0.0705 0.2676 0.4786
23 O 0.0769 0.4541 0.7661
24 O 0.1106 0.1535 0.1003
25 O 0.1317 0.1529 0.7069
26 O 0.1921 0.4225 0.2222
27 O 0.1942 0.6738 0.7143
28 O 0.2013 0.6154 0.9809
29 O 0.2201 0.9095 0.2227
30 O 0.2248 0.7433 0.4594
31 O 0.2752 0.2433 0.9594
32 O 0.2799 0.4095 0.7227
33 O 0.2988 0.1154 0.4809
34 O 0.3058 0.1738 0.2143
35 O 0.3079 0.9225 0.7222
36 O 0.3683 0.6529 0.2069
37 O 0.3894 0.6535 0.6003
38 O 0.4231 0.9541 0.2661
39 O 0.4295 0.7676 0.9786
40 O 0.4410 0.2016 0.7307
41 O 0.5590 0.7307 0.2016
42 O 0.5705 0.9786 0.7676
43 O 0.5769 0.2661 0.9541
44 O 0.6106 0.6003 0.6535
45 O 0.6317 0.2069 0.6529
46 O 0.6921 0.7222 0.9225
47 O 0.6942 0.2143 0.1738
48 O 0.7012 0.4809 0.1154
49 O 0.7201 0.7227 0.4095
50 O 0.7248 0.9594 0.2433
51 O 0.7752 0.4594 0.7433
52 O 0.7799 0.2227 0.9095
53 O 0.7988 0.9809 0.6154
54 O 0.8058 0.7143 0.6738
55 O 0.8079 0.2222 0.4225
56 O 0.8683 0.7069 0.1529
57 O 0.8894 0.1003 0.1535
58 O 0.9231 0.7661 0.4541
59 O 0.9295 0.4786 0.2676
60 O 0.9410 0.2307 0.7016